# NdAlSi
Calculated X-ray diffraction stick pattern, copper Kα. Input: a DFT-relaxed cell (GGA-PBE, Alexandria).
Intensities are scaled so that the largest is 100.

Most intense lines, 2θ = 10–80°, low angle first:
- 2θ 21.9, I 39
- 2θ 24.4, I 23
- 2θ 28.0, I 51
- 2θ 32.4, I 100
- 2θ 37.5, I 42
- 2θ 42.8, I 31
- 2θ 48.7, I 20
- 2θ 51.9, I 18
- 2θ 58.1, I 23
- 2θ 71.8, I 20

Structure:
```
data_NdAlSi
_chemical_formula_sum 'Nd2 Al2 Si2'
_cell_length_a 7.8833
_cell_length_b 7.8833
_cell_length_c 7.8833
_cell_angle_alpha 148.89
_cell_angle_beta 148.89
_cell_angle_gamma 44.57
_space_group_name_H-M_alt 'P 1'
_space_group_IT_number 1
_space_group_name_Hall 'P 1'
loop_
_atom_site_label
_atom_site_fract_x
_atom_site_fract_y
_atom_site_fract_z
Nd1 0.0000 0.0000 0.0000
Nd2 0.7500 0.2500 0.5000
Al1 0.3338 0.8338 0.5000
Al2 0.5838 0.5838 0.0000
Si1 0.1677 0.6677 0.5000
Si2 0.4177 0.4177 0.0000
```